[1]
# NiI2O6
Calculated XRD peak list, a wavelength of 1.5418 Å. Input: a structure optimized by DFT (PBE+U).
Kinematic intensities with the Lorentz-polarization factor, no thermal factor.

Structural model:
abc: 5.4352 5.6141 17.8617
angles: 90.00 90.00 90.00
Space group P2_12_12_1 (No. 19)
Asymmetric unit:
Ni 0.2206 0.1670 0.1071 (multiplicity 4)
I 0.0091 0.8541 0.9237 (multiplicity 4)
I 0.2424 0.7350 0.2973 (multiplicity 4)
O 0.0206 0.0238 0.1999 (multiplicity 4)
O 0.0352 0.4677 0.8444 (multiplicity 4)
O 0.0865 0.4781 0.6700 (multiplicity 4)
O 0.1054 0.6203 0.5278 (multiplicity 4)
O 0.1088 0.8867 0.3803 (multiplicity 4)
O 0.2377 0.8390 0.0532 (multiplicity 4)

Top 10 peaks for 2θ = 15–90°, by angle:
21.76°, intensity 83.0
22.14°, intensity 60.8
23.32°, intensity 100.0
24.89°, intensity 61.4
25.82°, intensity 61.6
27.31°, intensity 66.1
29.64°, intensity 38.1
37.10°, intensity 45.6
41.47°, intensity 34.1
47.56°, intensity 33.0

[2]
# NiI2O6
Calculated XRD peak list, a wavelength of 1.5418 Å. Input: a structure optimized by DFT (PBE+U).
Kinematic intensities with the Lorentz-polarization factor, no thermal factor.

Structural model:
abc: 6.6602 10.8718 8.6057
angles: 90.00 117.56 90.00
Space group P2_1/c (No. 14)
Asymmetric unit:
Ni 0.1093 0.0945 0.4143 (multiplicity 4)
I 0.2311 0.0831 0.9768 (multiplicity 4)
I 0.3611 0.7064 0.0731 (multiplicity 4)
O 0.0352 0.5410 0.3431 (multiplicity 4)
O 0.0440 0.2184 0.8871 (multiplicity 4)
O 0.1483 0.5779 0.0184 (multiplicity 4)
O 0.3986 0.1008 0.8580 (multiplicity 4)
O 0.4062 0.1093 0.4053 (multiplicity 4)
O 0.4418 0.7173 0.3061 (multiplicity 4)

Top 10 peaks for 2θ = 15–90°, by angle:
21.62°, intensity 58.6
22.23°, intensity 42.2
23.32°, intensity 83.5
24.73°, intensity 79.9
28.26°, intensity 33.6
28.41°, intensity 74.4
28.91°, intensity 100.0
31.40°, intensity 37.8
32.59°, intensity 53.1
42.93°, intensity 33.7

[3]
# NiI2O6
Calculated XRD peak list, a wavelength of 1.5418 Å. Input: a structure optimized by DFT (PBE+U).
Kinematic intensities with the Lorentz-polarization factor, no thermal factor.

Structural model:
abc: 9.3591 5.3210 10.9731
angles: 90.00 90.12 90.00
Space group P2_1 (No. 4)
Asymmetric unit:
Ni 0.2467 0.0000 0.1168 (multiplicity 2)
Ni 0.2469 0.9999 0.6166 (multiplicity 2)
I 0.0999 0.6019 0.3646 (multiplicity 2)
I 0.1000 0.6016 0.8647 (multiplicity 2)
I 0.4338 0.0740 0.3684 (multiplicity 2)
I 0.4338 0.0740 0.8684 (multiplicity 2)
O 0.0693 0.2166 0.0716 (multiplicity 2)
O 0.0693 0.2167 0.5717 (multiplicity 2)
O 0.0998 0.7878 0.2224 (multiplicity 2)
O 0.0999 0.7876 0.7225 (multiplicity 2)
O 0.2281 0.7886 0.9555 (multiplicity 2)
O 0.2277 0.7896 0.4553 (multiplicity 2)
O 0.2998 0.2185 0.2666 (multiplicity 2)
O 0.2998 0.2184 0.7666 (multiplicity 2)
O 0.3779 0.2315 0.0105 (multiplicity 2)
O 0.3779 0.2317 0.5105 (multiplicity 2)
O 0.4195 0.7881 0.1749 (multiplicity 2)
O 0.4195 0.7881 0.6749 (multiplicity 2)

Top 10 peaks for 2θ = 15–90°, by angle:
25.18°, intensity 100.0
25.35°, intensity 46.4
30.19°, intensity 14.2
32.64°, intensity 17.4
33.03°, intensity 31.7
33.69°, intensity 12.0
41.77°, intensity 16.8
47.61°, intensity 15.0
47.90°, intensity 28.9
55.34°, intensity 12.0

[4]
# NiI2O6
Calculated XRD peak list, a wavelength of 1.5418 Å. Input: a structure optimized by DFT (PBE+U).
Kinematic intensities with the Lorentz-polarization factor, no thermal factor.

Structural model:
abc: 5.9074 5.9074 5.1718
angles: 90.00 90.00 120.00
Space group P-3m1 (No. 164)
Asymmetric unit:
Ni 0.0000 0.0000 0.0000 (multiplicity 1)
I 0.3333 0.6667 0.9482 (multiplicity 2)
O 0.1743 0.3486 0.7792 (multiplicity 6)

Top 10 peaks for 2θ = 15–90°, by angle:
17.15°, intensity 100.0
24.47°, intensity 32.4
30.26°, intensity 56.3
34.99°, intensity 90.0
39.03°, intensity 15.7
46.69°, intensity 35.6
56.85°, intensity 20.3
62.93°, intensity 12.9
65.57°, intensity 12.3
65.76°, intensity 15.1

[5]
# PrV2IO9
Calculated XRD peak list, a wavelength of 1.5418 Å. Input: a structure optimized by DFT (PBE+U).
Kinematic intensities with the Lorentz-polarization factor, no thermal factor.

Structural model:
abc: 7.1339 14.7573 7.3323
angles: 90.00 90.00 90.00
Space group Pbcm (No. 57)
Asymmetric unit:
Pr 0.1498 0.0486 0.2500 (multiplicity 4)
V 0.1819 0.7287 0.7500 (multiplicity 4)
V 0.4649 0.2500 0.0000 (multiplicity 4)
I 0.2980 0.0561 0.7500 (multiplicity 4)
O 0.0122 0.6927 0.2500 (multiplicity 4)
O 0.0838 0.6250 0.7500 (multiplicity 4)
O 0.1738 0.5088 0.0707 (multiplicity 8)
O 0.2609 0.7500 0.0000 (multiplicity 4)
O 0.3310 0.1580 0.0447 (multiplicity 8)
O 0.4686 0.7206 0.7500 (multiplicity 4)
O 0.4750 0.5013 0.7500 (multiplicity 4)

Top 10 peaks for 2θ = 15–90°, by angle:
21.95°, intensity 100.0
24.12°, intensity 29.5
24.28°, intensity 47.7
27.16°, intensity 44.4
28.48°, intensity 61.9
29.89°, intensity 22.4
32.96°, intensity 62.6
41.26°, intensity 35.2
45.40°, intensity 36.7
47.13°, intensity 34.3

[6]
# RbV2I3O13
Calculated XRD peak list, a wavelength of 1.5418 Å. Input: a structure optimized by DFT (PBE+U).
Kinematic intensities with the Lorentz-polarization factor, no thermal factor.

Structural model:
abc: 14.0302 10.5876 8.1694
angles: 90.00 90.00 90.00
Space group Ima2 (No. 46)
Asymmetric unit:
Rb 0.2500 0.1092 0.0000 (multiplicity 4)
V 0.1286 0.0173 0.5197 (multiplicity 8)
I 0.0092 0.2439 0.7503 (multiplicity 8)
I 0.2500 0.7223 0.7746 (multiplicity 4)
O 0.0000 0.0000 0.4768 (multiplicity 4)
O 0.0308 0.1638 0.0676 (multiplicity 8)
O 0.0990 0.6529 0.1933 (multiplicity 8)
O 0.1019 0.1151 0.7197 (multiplicity 8)
O 0.1486 0.6215 0.8534 (multiplicity 8)
O 0.1512 0.1363 0.3940 (multiplicity 8)
O 0.2500 0.5150 0.0993 (multiplicity 4)
O 0.2500 0.6597 0.5685 (multiplicity 4)

Top 10 peaks for 2θ = 15–90°, by angle:
16.75°, intensity 39.0
21.01°, intensity 30.4
24.20°, intensity 30.7
25.23°, intensity 23.9
25.39°, intensity 23.3
27.58°, intensity 100.0
28.96°, intensity 24.6
30.57°, intensity 50.3
37.84°, intensity 27.6
48.51°, intensity 46.7

[7]
# RbVI2O8
Calculated XRD peak list, a wavelength of 1.5418 Å. Input: a structure optimized by DFT (PBE+U).
Kinematic intensities with the Lorentz-polarization factor, no thermal factor.

Structural model:
abc: 5.3570 8.1896 10.1059
angles: 109.23 91.16 91.31
Space group P-1 (No. 2)
Asymmetric unit:
Rb 0.2412 0.1912 0.4144 (multiplicity 2)
V 0.2669 0.6359 0.8050 (multiplicity 2)
I 0.1692 0.1476 0.9415 (multiplicity 2)
I 0.2407 0.6291 0.2668 (multiplicity 2)
O 0.0176 0.4690 0.6609 (multiplicity 2)
O 0.0622 0.3294 0.1001 (multiplicity 2)
O 0.1336 0.9670 0.1105 (multiplicity 2)
O 0.1648 0.2609 0.8117 (multiplicity 2)
O 0.2813 0.8270 0.4121 (multiplicity 2)
O 0.3020 0.8196 0.7694 (multiplicity 2)
O 0.4318 0.6555 0.9521 (multiplicity 2)
O 0.4957 0.5086 0.3258 (multiplicity 2)

Top 10 peaks for 2θ = 15–90°, by angle:
24.40°, intensity 58.9
24.67°, intensity 81.8
24.96°, intensity 100.0
25.37°, intensity 53.7
28.05°, intensity 53.3
28.91°, intensity 58.5
29.56°, intensity 62.7
33.48°, intensity 36.3
35.57°, intensity 36.1
45.73°, intensity 29.7

[8]
# SmV2IO9
Calculated XRD peak list, a wavelength of 1.5418 Å. Input: a structure optimized by DFT (PBE+U).
Kinematic intensities with the Lorentz-polarization factor, no thermal factor.

Structural model:
abc: 7.0609 14.5892 7.2797
angles: 90.00 90.00 90.00
Space group Pbcm (No. 57)
Asymmetric unit:
Sm 0.1494 0.0478 0.2500 (multiplicity 4)
V 0.1809 0.7285 0.7500 (multiplicity 4)
V 0.4601 0.2500 0.0000 (multiplicity 4)
I 0.2984 0.0544 0.7500 (multiplicity 4)
O 0.0112 0.6913 0.2500 (multiplicity 4)
O 0.0819 0.6234 0.7500 (multiplicity 4)
O 0.1724 0.5108 0.0689 (multiplicity 8)
O 0.2624 0.7500 0.0000 (multiplicity 4)
O 0.3247 0.1571 0.0470 (multiplicity 8)
O 0.4721 0.0012 0.2500 (multiplicity 4)
O 0.4717 0.7191 0.7500 (multiplicity 4)

Top 10 peaks for 2θ = 15–90°, by angle:
22.20°, intensity 100.0
24.44°, intensity 83.5
27.38°, intensity 49.2
28.76°, intensity 67.9
30.20°, intensity 22.5
33.25°, intensity 81.4
41.68°, intensity 37.6
45.82°, intensity 37.6
47.65°, intensity 36.5
52.18°, intensity 22.5